Diffraction record for MgMn2Tl2O6. The powder diffractogram is theoretical, not measured: it uses the GGA+U geometry in the Materials Project and Cu Kα (weighted mean of Kα1 and Kα2).
Lines closer than 0.1° are merged.

Structural model:
Cell: 7.9177 7.9177 7.9177 Å, 37.71 37.71 37.71°
Positions (direct):
Mg (0.0000, 0.0000, 0.0000)
Mn (0.3332, 0.3332, 0.3332)
Mn (0.6668, 0.6668, 0.6668)
Tl (0.1315, 0.1315, 0.1315)
Tl (0.8685, 0.8685, 0.8685)
O (0.0471, 0.6944, 0.3980)
O (0.3056, 0.6020, 0.9529)
O (0.3980, 0.0471, 0.6944)
O (0.6020, 0.9529, 0.3056)
O (0.6944, 0.3980, 0.0471)
O (0.9529, 0.3056, 0.6020)

Peak list (8 most intense, 2θ = 10–90°, sorted by position)
- 20.4°, I = 51.3
- 25.8°, I = 100.0
- 28.6°, I = 26.8
- 35.0°, I = 26.2
- 35.1°, I = 59.4
- 38.5°, I = 24.1
- 44.0°, I = 23.3
- 62.9°, I = 26.8